NaInSnP2SO12: theoretical PXRD pattern (Cu Kα (weighted mean of Kα1 and Kα2)), based on a cell relaxed with GGA-PBE.
Neutral-atom scattering factors, no anomalous dispersion.

Structural model:
Cell: 15.2682 8.7951 9.2131 Å, 90.00 123.25 90.00°
Space group Cc (No. 9)
One atom of each set of equivalent atoms:
1 Na 0.0000 0.2359 0.0000
2 In 0.3466 0.2586 0.0618
3 Sn 0.1452 0.2498 0.4537
4 P 0.1017 0.1005 0.7594
5 P 0.2443 0.4530 0.2582
6 S 0.3961 0.1047 0.7585
7 O 0.0056 0.1754 0.7428
8 O 0.0958 0.0775 0.2703
9 O 0.1030 0.1240 0.5915
10 O 0.1615 0.3589 0.2719
11 O 0.1753 0.4480 0.5913
12 O 0.1985 0.1610 0.9214
13 O 0.3032 0.1729 0.5992
14 O 0.3131 0.4528 0.9184
15 O 0.3178 0.3432 0.2454
16 O 0.3961 0.1313 0.9142
17 O 0.4030 0.0599 0.2407
18 O 0.4874 0.1804 0.7691

Principal peaks in the range 10° ≤ 2θ ≤ 90°, low angle first:
two_theta  d_spacing  Rel. int.
13.9  6.365  29
19.3  4.605  78
20.2  4.402  100
23.3  3.822  64
28.1  3.178  33
30.8  2.902  61
30.9  2.894  31
34.8  2.579  24
35.3  2.542  43
47.6  1.909  22